Computed X-ray diffraction stick pattern of MnH2F5 for Cu Kα, 1.54184 Å, from a cell relaxed with GGA+U.
Peak positions follow from Bragg's law for the DFT cell and can differ from measured ones.

Cell and atoms:
Lattice parameters (Å, degrees): 4.5321 4.8125 5.4549 81.57 82.46 61.91
Positions (direct):
Mn (0.0000, 0.0000, 0.0000)
H (0.3248, 0.3245, 0.0841)
H (0.9978, 0.9946, 0.5034)
F (0.1232, 0.8394, 0.6821)
F (0.1840, 0.5851, 0.1624)
F (0.4534, 0.0816, 0.0322)
F (0.8209, 0.3979, 0.8583)
F (0.8761, 0.1458, 0.3307)

Main lines, by angle (2θ = 15–90°):
2theta  intensity  h k l
16.5  100  0 0 1
21.0  36  0 1 0
22.3  52  1 0 0
22.5  50  1 1 0
37.9  25  0 1 2
40.1  32  2 1 0
41.5  17  2 1 1
47.7  16  0 2 -1